TbHC3O6: theoretical X-ray powder pattern (CuKα), based on a DFT-relaxed cell (GGA-PBE, OQMD).
Intensities are scaled so that the largest is 100.

Cell and atoms:
Cell: 6.937 10.535 6.547 Å, 90.00 90.00 90.00°
Atoms (fractional coordinates):
Tb1 0.200 0.250 0.134
Tb2 0.300 0.750 0.634
Tb3 0.700 0.250 0.366
Tb4 0.800 0.750 0.866
H1 0.215 0.750 0.123
H2 0.285 0.250 0.623
H3 0.715 0.750 0.377
H4 0.785 0.250 0.877
C1 0.096 0.520 0.951
C2 0.096 0.980 0.951
C3 0.127 0.250 0.631
C4 0.373 0.750 0.131
C5 0.404 0.020 0.451
C6 0.404 0.480 0.451
C7 0.596 0.520 0.549
C8 0.596 0.980 0.549
C9 0.627 0.250 0.869
C10 0.873 0.750 0.369
C11 0.904 0.020 0.049
C12 0.904 0.480 0.049
O1 0.034 0.250 0.463
O2 0.050 0.250 0.805
O3 0.090 0.624 0.850
O4 0.090 0.876 0.850
O5 0.242 0.048 0.977
O6 0.242 0.452 0.977
O7 0.258 0.548 0.477
O8 0.258 0.952 0.477
O9 0.410 0.124 0.350
O10 0.410 0.376 0.350
O11 0.450 0.750 0.305
O12 0.466 0.750 0.963
O13 0.534 0.250 0.037
O14 0.550 0.250 0.695
O15 0.590 0.624 0.650
O16 0.590 0.876 0.650
O17 0.742 0.048 0.523
O18 0.742 0.452 0.523
O19 0.758 0.548 0.023
O20 0.758 0.952 0.023
O21 0.910 0.124 0.150
O22 0.910 0.376 0.150
O23 0.950 0.750 0.195
O24 0.966 0.750 0.537

Peak list (10 most intense, 2θ from 15° to 90°, most intense first)
two_theta	d/Å	I/Imax	hkl
15.94	5.561	100	0 1 1
16.83	5.267	81	0 2 0
20.47	4.339	73	1 1 1
34.76	2.581	66	1 2 2
30.37	2.943	29	2 1 1
46.13	1.968	27	1 4 2
34.04	2.634	25	0 4 0
30.19	2.961	24	1 0 2
39.01	2.309	23	2 3 1
36.41	2.468	21	2 3 0